Starting from a PBE-relaxed structure, the powder diffraction line list of Ni3W2 was computed for Cu Kα, 1.54184 Å.
No peak broadening, texture or thermal motion is included.

Structural model:
```
Ni3W2
1.0
9.0801 0.0000 0.0000
0.0000 9.0801 0.0000
0.0000 0.0000 4.7173
Ni W
18 12
Cartesian
0.0000 0.0000 0.0000
0.5744 2.3276 0.0000
1.6632 7.4170 1.1788
1.6632 7.4170 3.5386
2.2124 5.1144 2.3587
2.3276 0.5744 0.0000
2.8769 2.8769 1.1799
2.8769 2.8769 3.5374
3.9657 6.8677 2.3587
4.5401 4.5401 2.3587
5.1144 2.2124 2.3587
6.2032 6.2032 1.1799
6.2032 6.2032 3.5374
6.7525 8.5057 0.0000
6.8677 3.9657 2.3587
7.4170 1.6632 1.1788
7.4170 1.6632 3.5386
8.5057 6.7525 0.0000
0.3103 3.3356 2.3587
0.8952 0.8952 2.3587
1.2044 4.8504 0.0000
3.3356 0.3103 2.3587
3.6449 5.4353 0.0000
4.2298 7.8757 0.0000
4.8504 1.2044 0.0000
5.4353 3.6449 0.0000
5.7445 8.7698 2.3587
7.8757 4.2298 0.0000
8.1849 8.1849 2.3587
8.7698 5.7445 2.3587
```

Peak list (8 most intense, 10 to 90 degrees two-theta, low angle first)
| (hkl) | two_theta | I/Imax |
| --- | --- | --- |
| 3 1 1 | 36.6 | 25 |
| 0 0 2 | 38.2 | 32 |
| 4 1 0 | 41.0 | 41 |
| 3 3 0 | 42.2 | 24 |
| 2 0 2 | 43.2 | 25 |
| 2 1 2 | 44.4 | 31 |
| 4 1 1 | 45.5 | 100 |
| 3 3 1 | 46.6 | 38 |